Starting from a structure optimized by DFT (PBE+U), the powder X-ray diffraction pattern of VOF2 was computed for copper Kα.

Crystal structure
```
data_VOF2
_chemical_formula_sum 'V2 O2 F4'
_symmetry_space_group_name_H-M 'C 1 2 1'
_symmetry_Int_Tables_number 5
_cell_length_a 10.115
_cell_length_b 3.732
_cell_length_c 3.085
_cell_angle_alpha 90.00
_cell_angle_beta 107.03
_cell_angle_gamma 90.00
loop_
_symmetry_equiv_pos_as_xyz
'x,y,z'
'-x,y,-z'
'x+1/2,y+1/2,z'
'-x+1/2,y+1/2,-z'
loop_
_atom_site_label
_atom_site_fract_x
_atom_site_fract_y
_atom_site_fract_z
V1 0.000 0.000 0.000
O1 0.000 0.549 0.000
F1 0.129 0.054 0.624
```

Largest 10 diffraction maxima, in order of rising 2θ, 5° ≤ 2θ ≤ 70°:
d 4.836, 2θ = 18.35°, I = 100, hkl 2 0 0; d 3.482, 2θ = 25.59°, I = 72, hkl 1 1 0; d 2.950, 2θ = 30.30°, I = 9, hkl 0 0 1; d 2.928, 2θ = 30.53°, I = 10, hkl 2 0 -1; d 2.243, 2θ = 40.20°, I = 25, hkl 2 0 1; d 2.215, 2θ = 40.74°, I = 25, hkl 4 0 -1; d 1.866, 2θ = 48.81°, I = 14, hkl 0 2 0; d 1.741, 2θ = 52.57°, I = 9, hkl 2 2 0; d 1.704, 2θ = 53.81°, I = 11, hkl 3 1 1; d 1.687, 2θ = 54.38°, I = 10, hkl 5 1 -1

=====

Starting from a structure optimized by DFT (PBE+U), the powder X-ray diffraction pattern of V3O4F2 was computed for copper Kα.

Crystal structure
```
data_V3O4F2
_chemical_formula_sum 'V12 O16 F8'
_symmetry_space_group_name_H-M 'C 1 2/m 1'
_symmetry_Int_Tables_number 12
_cell_length_a 6.919
_cell_length_b 6.424
_cell_length_c 9.141
_cell_angle_alpha 90.00
_cell_angle_beta 90.11
_cell_angle_gamma 90.00
loop_
_symmetry_equiv_pos_as_xyz
'x,y,z'
'-x,-y,-z'
'-x,y,-z'
'x,-y,z'
'x+1/2,y+1/2,z'
'-x+1/2,-y+1/2,-z'
'-x+1/2,y+1/2,-z'
'x+1/2,-y+1/2,z'
loop_
_atom_site_label
_atom_site_fract_x
_atom_site_fract_y
_atom_site_fract_z
V1 0.000 0.000 0.000
V2 0.000 0.500 0.500
V3 0.003 0.000 0.327
V4 0.044 0.500 0.834
O1 0.000 0.308 0.000
O2 0.004 0.304 0.670
O3 0.197 0.000 0.164
F1 0.194 0.000 0.501
F2 0.202 0.000 0.835
```

Largest 10 diffraction maxima, in order of rising 2θ, 5° ≤ 2θ ≤ 70°:
d 3.459, 2θ = 25.75°, I = 96, hkl 2 0 0; d 3.212, 2θ = 27.77°, I = 100, hkl 0 2 0; d 2.558, 2θ = 35.08°, I = 94, hkl 1 1 3; d 2.286, 2θ = 39.41°, I = 26, hkl 2 0 3; d 2.211, 2θ = 40.82°, I = 20, hkl 0 2 3; d 1.768, 2θ = 51.71°, I = 57, hkl 3 1 -3; d 1.698, 2θ = 53.99°, I = 56, hkl 1 3 3; d 1.523, 2θ = 60.80°, I = 25, hkl 0 0 6; d 1.396, 2θ = 67.05°, I = 26, hkl 3 3 -3; d 1.394, 2θ = 67.14°, I = 25, hkl 3 3 3

=====

Starting from a structure optimized by DFT (PBE+U), the powder X-ray diffraction pattern of V2O3F was computed for copper Kα.

Crystal structure
```
data_V2O3F
_chemical_formula_sum 'V16 O24 F8'
_symmetry_space_group_name_H-M 'A m m 2'
_symmetry_Int_Tables_number 38
_cell_length_a 12.112
_cell_length_b 6.415
_cell_length_c 6.861
_cell_angle_alpha 90.00
_cell_angle_beta 90.00
_cell_angle_gamma 90.00
loop_
_symmetry_equiv_pos_as_xyz
'x,y,z'
'-x,-y,z'
'-x,y,z'
'x,-y,z'
'x,y+1/2,z+1/2'
'-x,-y+1/2,z+1/2'
'-x,y+1/2,z+1/2'
'x,-y+1/2,z+1/2'
loop_
_atom_site_label
_atom_site_fract_x
_atom_site_fract_y
_atom_site_fract_z
V1 0.000 0.000 0.000
V2 0.125 0.000 0.456
V3 0.251 0.000 0.004
V4 0.375 0.000 0.461
V5 0.500 0.000 0.915
O1 0.000 0.000 0.263
O2 0.125 0.193 0.965
O3 0.250 0.000 0.265
O4 0.375 0.192 0.961
O5 0.500 0.000 0.656
F1 0.000 0.000 0.663
F2 0.249 0.000 0.663
F3 0.500 0.000 0.261
```

Largest 10 diffraction maxima, in order of rising 2θ, 5° ≤ 2θ ≤ 70°:
d 3.430, 2θ = 25.97°, I = 93, hkl 0 0 2; d 3.207, 2θ = 27.82°, I = 100, hkl 0 2 0; d 2.543, 2θ = 35.29°, I = 94, hkl 4 1 1; d 2.270, 2θ = 39.70°, I = 28, hkl 4 0 2; d 2.202, 2θ = 40.99°, I = 19, hkl 4 2 0; d 1.755, 2θ = 52.11°, I = 52, hkl 4 1 3; d 1.693, 2θ = 54.19°, I = 56, hkl 4 3 1; d 1.604, 2θ = 57.46°, I = 16, hkl 0 4 0; d 1.514, 2θ = 61.24°, I = 25, hkl 8 0 0; d 1.388, 2θ = 67.47°, I = 37, hkl 4 3 3

=====

Starting from a structure optimized by DFT (PBE+U), the powder X-ray diffraction pattern of V6O7F5 was computed for copper Kα.

Crystal structure
```
data_V6O7F5
_chemical_formula_sum 'V6 O7 F5'
_symmetry_space_group_name_H-M 'P 1'
_symmetry_Int_Tables_number 1
_cell_length_a 4.678
_cell_length_b 5.620
_cell_length_c 7.800
_cell_angle_alpha 86.37
_cell_angle_beta 89.72
_cell_angle_gamma 89.96
loop_
_symmetry_equiv_pos_as_xyz
'x,y,z'
loop_
_atom_site_label
_atom_site_fract_x
_atom_site_fract_y
_atom_site_fract_z
V1 0.000 0.000 0.000
V2 0.002 0.308 0.636
V3 0.016 0.643 0.333
V4 0.513 0.146 0.319
V5 0.541 0.467 0.977
V6 0.568 0.820 0.661
O1 0.222 0.353 0.413
O2 0.321 0.178 0.077
O3 0.718 0.113 0.545
O4 0.737 0.780 0.896
O5 0.820 0.616 0.550
O6 0.833 0.943 0.218
O7 0.834 0.273 0.882
F1 0.223 0.009 0.752
F2 0.230 0.680 0.092
F3 0.325 0.846 0.432
F4 0.326 0.516 0.749
F5 0.723 0.443 0.214
```

Largest 10 diffraction maxima, in order of rising 2θ, 5° ≤ 2θ ≤ 70°:
d 3.313, 2θ = 26.91°, I = 100, hkl -1 1 1; d 2.593, 2θ = 34.59°, I = 25, hkl 1 -1 2; d 2.585, 2θ = 34.70°, I = 26, hkl 0 2 -1; d 2.264, 2θ = 39.82°, I = 18, hkl 1 -2 1; d 1.743, 2θ = 52.51°, I = 14, hkl 2 0 3; d 1.736, 2θ = 52.71°, I = 30, hkl 1 3 0; d 1.733, 2θ = 52.81°, I = 15, hkl 2 2 -1; d 1.659, 2θ = 55.37°, I = 9, hkl 2 2 2; d 1.553, 2θ = 59.51°, I = 10, hkl 0 2 -4; d 1.396, 2θ = 67.07°, I = 11, hkl 0 4 1

=====

Starting from a structure optimized by DFT (PBE+U), the powder X-ray diffraction pattern of V4O7F5 was computed for copper Kα.

Crystal structure
```
data_V4O7F5
_chemical_formula_sum 'V4 O7 F5'
_symmetry_space_group_name_H-M 'P 1'
_symmetry_Int_Tables_number 1
_cell_length_a 5.200
_cell_length_b 5.313
_cell_length_c 7.582
_cell_angle_alpha 88.30
_cell_angle_beta 89.58
_cell_angle_gamma 88.32
loop_
_symmetry_equiv_pos_as_xyz
'x,y,z'
loop_
_atom_site_label
_atom_site_fract_x
_atom_site_fract_y
_atom_site_fract_z
V1 0.000 0.000 0.000
V2 0.050 0.989 0.494
V3 0.477 0.519 0.933
V4 0.546 0.483 0.431
O1 0.090 0.007 0.710
O2 0.228 0.709 0.001
O3 0.293 0.791 0.432
O4 0.432 0.508 0.718
O5 0.598 0.504 0.216
O6 0.727 0.228 0.496
O7 0.935 0.008 0.214
F1 0.223 0.301 0.423
F2 0.315 0.210 0.004
F3 0.712 0.799 0.920
F4 0.795 0.725 0.507
F5 0.803 0.306 0.924
```

Largest 10 diffraction maxima, in order of rising 2θ, 5° ≤ 2θ ≤ 70°:
d 3.789, 2θ = 23.48°, I = 100, hkl 0 0 2; d 3.769, 2θ = 23.60°, I = 94, hkl 1 1 0; d 3.661, 2θ = 24.31°, I = 92, hkl 1 -1 0; d 2.654, 2θ = 33.77°, I = 23, hkl -1 1 2; d 2.265, 2θ = 39.79°, I = 17, hkl 2 1 1; d 1.895, 2θ = 48.02°, I = 15, hkl 0 0 4; d 1.885, 2θ = 48.29°, I = 23, hkl 2 2 0; d 1.831, 2θ = 49.81°, I = 16, hkl 2 -2 0; d 1.690, 2θ = 54.27°, I = 11, hkl 1 3 0; d 1.661, 2θ = 55.31°, I = 13, hkl 1 -3 0

=====

Starting from a structure optimized by DFT (PBE+U), the powder X-ray diffraction pattern of V2O3F was computed for copper Kα.

Crystal structure
```
data_V2O3F
_chemical_formula_sum 'V8 O12 F4'
_symmetry_space_group_name_H-M 'P -1'
_symmetry_Int_Tables_number 2
_cell_length_a 4.586
_cell_length_b 5.531
_cell_length_c 10.373
_cell_angle_alpha 97.92
_cell_angle_beta 90.03
_cell_angle_gamma 90.07
loop_
_symmetry_equiv_pos_as_xyz
'x,y,z'
'-x,-y,-z'
loop_
_atom_site_label
_atom_site_fract_x
_atom_site_fract_y
_atom_site_fract_z
V1 0.000 0.000 0.000
V2 0.000 0.500 0.500
V3 0.017 0.255 0.762
V4 0.482 0.250 0.263
V5 0.500 0.000 0.500
V6 0.500 0.500 0.000
O1 0.193 0.274 0.926
O2 0.206 0.527 0.679
O3 0.209 0.027 0.175
O4 0.290 0.028 0.675
O5 0.294 0.525 0.180
O6 0.305 0.274 0.427
F1 0.194 0.777 0.421
F2 0.307 0.777 0.920
```

Largest 10 diffraction maxima, in order of rising 2θ, 5° ≤ 2θ ≤ 70°:
d 3.240, 2θ = 27.53°, I = 100, hkl -1 1 1; d 2.569, 2θ = 34.93°, I = 55, hkl 0 2 -2; d 2.241, 2θ = 40.25°, I = 22, hkl 1 2 -2; d 1.710, 2θ = 53.58°, I = 46, hkl 1 -3 1; d 1.709, 2θ = 53.63°, I = 15, hkl 1 3 -1; d 1.620, 2θ = 56.83°, I = 19, hkl -2 2 2; d 1.551, 2θ = 59.60°, I = 10, hkl 0 2 -6; d 1.399, 2θ = 66.87°, I = 12, hkl 1 -3 5; d 1.371, 2θ = 68.42°, I = 11, hkl 3 -1 3; d 1.370, 2θ = 68.51°, I = 11, hkl 0 4 0

=====

Starting from a structure optimized by DFT (PBE+U), the powder X-ray diffraction pattern of V2O3F was computed for copper Kα.

Crystal structure
```
data_V2O3F
_chemical_formula_sum 'V8 O12 F4'
_symmetry_space_group_name_H-M 'P 1'
_symmetry_Int_Tables_number 1
_cell_length_a 4.689
_cell_length_b 6.055
_cell_length_c 9.851
_cell_angle_alpha 72.35
_cell_angle_beta 87.90
_cell_angle_gamma 89.82
loop_
_symmetry_equiv_pos_as_xyz
'x,y,z'
loop_
_atom_site_label
_atom_site_fract_x
_atom_site_fract_y
_atom_site_fract_z
V1 0.000 0.000 0.000
V2 0.007 0.515 0.993
V3 0.436 0.900 0.722
V4 0.488 0.633 0.237
V5 0.526 0.148 0.248
V6 0.535 0.366 0.770
V7 0.932 0.757 0.496
V8 0.976 0.261 0.489
O1 0.176 0.953 0.591
O2 0.190 0.712 0.093
O3 0.297 0.088 0.839
O4 0.300 0.318 0.341
O5 0.304 0.587 0.838
O6 0.673 0.185 0.646
O7 0.676 0.950 0.150
O8 0.684 0.683 0.648
O9 0.705 0.427 0.142
O10 0.788 0.051 0.399
O11 0.793 0.571 0.392
O12 0.804 0.305 0.895
F1 0.176 0.469 0.589
F2 0.206 0.211 0.096
F3 0.279 0.839 0.349
F4 0.792 0.811 0.891
```

Largest 10 diffraction maxima, in order of rising 2θ, 5° ≤ 2θ ≤ 70°:
d 3.379, 2θ = 26.38°, I = 95, hkl 1 0 2; d 3.255, 2θ = 27.40°, I = 100, hkl 1 0 -2; d 2.548, 2θ = 35.23°, I = 48, hkl 0 2 -1; d 2.539, 2θ = 35.36°, I = 46, hkl 0 2 3; d 2.255, 2θ = 39.99°, I = 25, hkl 1 2 3; d 1.743, 2θ = 52.51°, I = 26, hkl 1 -2 3; d 1.740, 2θ = 52.60°, I = 25, hkl 1 2 5; d 1.711, 2θ = 53.58°, I = 27, hkl 1 2 -3; d 1.702, 2θ = 53.85°, I = 28, hkl -1 2 5; d 1.386, 2θ = 67.56°, I = 19, hkl 0 2 7

=====

Starting from a structure optimized by DFT (PBE+U), the powder X-ray diffraction pattern of V2O3F3 was computed for copper Kα.

Crystal structure
```
data_V2O3F3
_chemical_formula_sum 'V6 O9 F9'
_symmetry_space_group_name_H-M 'P 1'
_symmetry_Int_Tables_number 1
_cell_length_a 5.216
_cell_length_b 5.237
_cell_length_c 13.247
_cell_angle_alpha 89.80
_cell_angle_beta 89.70
_cell_angle_gamma 60.13
loop_
_symmetry_equiv_pos_as_xyz
'x,y,z'
loop_
_atom_site_label
_atom_site_fract_x
_atom_site_fract_y
_atom_site_fract_z
V1 0.000 0.000 0.000
V2 0.028 0.903 0.487
V3 0.299 0.318 0.661
V4 0.329 0.289 0.159
V5 0.615 0.673 0.820
V6 0.706 0.581 0.328
O1 0.016 0.533 0.736
O2 0.031 0.381 0.235
O3 0.250 0.051 0.065
O4 0.251 0.634 0.567
O5 0.344 0.719 0.900
O6 0.437 0.953 0.737
O7 0.689 0.199 0.068
O8 0.774 0.293 0.400
O9 0.926 0.719 0.406
F1 0.092 0.208 0.564
F2 0.101 0.628 0.064
F3 0.341 0.882 0.401
F4 0.436 0.554 0.231
F5 0.605 0.375 0.735
F6 0.611 0.956 0.236
F7 0.680 0.052 0.566
F8 0.765 0.870 0.901
F9 0.925 0.290 0.900
```

Largest 10 diffraction maxima, in order of rising 2θ, 5° ≤ 2θ ≤ 70°:
d 3.744, 2θ = 23.77°, I = 100, hkl 1 1 2; d 3.728, 2θ = 23.87°, I = 52, hkl 1 0 -2; d 2.677, 2θ = 33.47°, I = 12, hkl 1 0 4; d 2.666, 2θ = 33.62°, I = 7, hkl 1 1 -4; d 2.253, 2θ = 40.02°, I = 13, hkl 2 1 3; d 1.872, 2θ = 48.64°, I = 21, hkl 2 2 4; d 1.864, 2θ = 48.85°, I = 11, hkl 2 0 -4; d 1.690, 2θ = 54.28°, I = 14, hkl 2 1 6; d 1.686, 2θ = 54.43°, I = 9, hkl 1 2 -6; d 1.660, 2θ = 55.34°, I = 8, hkl 2 3 2

=====

Starting from a structure optimized by DFT (PBE+U), the powder X-ray diffraction pattern of V2O3F3 was computed for copper Kα.

Crystal structure
```
data_V2O3F3
_chemical_formula_sum 'V4 O6 F6'
_symmetry_space_group_name_H-M 'P 1 2 1'
_symmetry_Int_Tables_number 3
_cell_length_a 5.417
_cell_length_b 5.283
_cell_length_c 7.374
_cell_angle_alpha 90.00
_cell_angle_beta 92.36
_cell_angle_gamma 90.00
loop_
_symmetry_equiv_pos_as_xyz
'x,y,z'
'-x,y,-z'
loop_
_atom_site_label
_atom_site_fract_x
_atom_site_fract_y
_atom_site_fract_z
V1 0.034 0.000 0.231
V2 0.455 0.490 0.733
O1 0.000 0.887 0.000
O2 0.208 0.672 0.712
O3 0.211 0.252 0.210
O4 0.500 0.408 0.500
F1 0.000 0.036 0.500
F2 0.286 0.177 0.792
F3 0.295 0.758 0.291
F4 0.500 0.546 0.000
```

Largest 10 diffraction maxima, in order of rising 2θ, 5° ≤ 2θ ≤ 70°:
d 3.780, 2θ = 23.53°, I = 100, hkl 1 1 0; d 3.684, 2θ = 24.16°, I = 46, hkl 0 0 2; d 2.677, 2θ = 33.47°, I = 11, hkl 1 1 -2; d 2.227, 2θ = 40.51°, I = 9, hkl 0 1 3; d 1.890, 2θ = 48.14°, I = 20, hkl 2 2 0; d 1.842, 2θ = 49.48°, I = 11, hkl 0 0 4; d 1.707, 2θ = 53.69°, I = 7, hkl 3 1 0; d 1.702, 2θ = 53.87°, I = 8, hkl 2 2 -2; d 1.676, 2θ = 54.79°, I = 11, hkl 1 1 -4; d 1.675, 2θ = 54.82°, I = 7, hkl 1 3 0

=====

Starting from a structure optimized by DFT (PBE+U), the powder X-ray diffraction pattern of VOF2 was computed for copper Kα.

Crystal structure
```
data_VOF2
_chemical_formula_sum 'V6 O6 F12'
_symmetry_space_group_name_H-M 'P -1'
_symmetry_Int_Tables_number 2
_cell_length_a 5.196
_cell_length_b 5.238
_cell_length_c 13.389
_cell_angle_alpha 88.76
_cell_angle_beta 89.34
_cell_angle_gamma 60.28
loop_
_symmetry_equiv_pos_as_xyz
'x,y,z'
'-x,-y,-z'
loop_
_atom_site_label
_atom_site_fract_x
_atom_site_fract_y
_atom_site_fract_z
V1 0.000 0.000 0.000
V2 0.000 0.000 0.500
V3 0.301 0.333 0.337
V4 0.379 0.349 0.833
O1 0.088 0.252 0.412
O2 0.336 0.753 0.086
O3 0.433 0.570 0.753
F1 0.022 0.398 0.752
F2 0.086 0.647 0.914
F3 0.256 0.080 0.913
F4 0.264 0.662 0.417
F5 0.334 0.930 0.589
F6 0.401 0.004 0.245
```

Largest 10 diffraction maxima, in order of rising 2θ, 5° ≤ 2θ ≤ 70°:
d 3.794, 2θ = 23.45°, I = 100, hkl 0 1 2; d 3.743, 2θ = 23.77°, I = 100, hkl 1 0 2; d 3.708, 2θ = 24.00°, I = 100, hkl 1 1 -2; d 2.672, 2θ = 33.53°, I = 15, hkl 0 1 -4; d 2.235, 2θ = 40.35°, I = 14, hkl 2 1 -3; d 1.897, 2θ = 47.96°, I = 23, hkl 0 2 4; d 1.872, 2θ = 48.64°, I = 21, hkl 2 0 4; d 1.854, 2θ = 49.15°, I = 19, hkl 2 2 -4; d 1.702, 2θ = 53.87°, I = 15, hkl 2 1 6; d 1.681, 2θ = 54.58°, I = 19, hkl 1 2 -6

=====

Copy entry 2 word for word.
Starting from a structure optimized by DFT (PBE+U), the powder X-ray diffraction pattern of V3O4F2 was computed for copper Kα.

Crystal structure
```
data_V3O4F2
_chemical_formula_sum 'V12 O16 F8'
_symmetry_space_group_name_H-M 'C 1 2/m 1'
_symmetry_Int_Tables_number 12
_cell_length_a 6.919
_cell_length_b 6.424
_cell_length_c 9.141
_cell_angle_alpha 90.00
_cell_angle_beta 90.11
_cell_angle_gamma 90.00
loop_
_symmetry_equiv_pos_as_xyz
'x,y,z'
'-x,-y,-z'
'-x,y,-z'
'x,-y,z'
'x+1/2,y+1/2,z'
'-x+1/2,-y+1/2,-z'
'-x+1/2,y+1/2,-z'
'x+1/2,-y+1/2,z'
loop_
_atom_site_label
_atom_site_fract_x
_atom_site_fract_y
_atom_site_fract_z
V1 0.000 0.000 0.000
V2 0.000 0.500 0.500
V3 0.003 0.000 0.327
V4 0.044 0.500 0.834
O1 0.000 0.308 0.000
O2 0.004 0.304 0.670
O3 0.197 0.000 0.164
F1 0.194 0.000 0.501
F2 0.202 0.000 0.835
```

Largest 10 diffraction maxima, in order of rising 2θ, 5° ≤ 2θ ≤ 70°:
d 3.459, 2θ = 25.75°, I = 96, hkl 2 0 0; d 3.212, 2θ = 27.77°, I = 100, hkl 0 2 0; d 2.558, 2θ = 35.08°, I = 94, hkl 1 1 3; d 2.286, 2θ = 39.41°, I = 26, hkl 2 0 3; d 2.211, 2θ = 40.82°, I = 20, hkl 0 2 3; d 1.768, 2θ = 51.71°, I = 57, hkl 3 1 -3; d 1.698, 2θ = 53.99°, I = 56, hkl 1 3 3; d 1.523, 2θ = 60.80°, I = 25, hkl 0 0 6; d 1.396, 2θ = 67.05°, I = 26, hkl 3 3 -3; d 1.394, 2θ = 67.14°, I = 25, hkl 3 3 3

=====

Please write out number 10 again, unchanged.
Starting from a structure optimized by DFT (PBE+U), the powder X-ray diffraction pattern of VOF2 was computed for copper Kα.

Crystal structure
```
data_VOF2
_chemical_formula_sum 'V6 O6 F12'
_symmetry_space_group_name_H-M 'P -1'
_symmetry_Int_Tables_number 2
_cell_length_a 5.196
_cell_length_b 5.238
_cell_length_c 13.389
_cell_angle_alpha 88.76
_cell_angle_beta 89.34
_cell_angle_gamma 60.28
loop_
_symmetry_equiv_pos_as_xyz
'x,y,z'
'-x,-y,-z'
loop_
_atom_site_label
_atom_site_fract_x
_atom_site_fract_y
_atom_site_fract_z
V1 0.000 0.000 0.000
V2 0.000 0.000 0.500
V3 0.301 0.333 0.337
V4 0.379 0.349 0.833
O1 0.088 0.252 0.412
O2 0.336 0.753 0.086
O3 0.433 0.570 0.753
F1 0.022 0.398 0.752
F2 0.086 0.647 0.914
F3 0.256 0.080 0.913
F4 0.264 0.662 0.417
F5 0.334 0.930 0.589
F6 0.401 0.004 0.245
```

Largest 10 diffraction maxima, in order of rising 2θ, 5° ≤ 2θ ≤ 70°:
d 3.794, 2θ = 23.45°, I = 100, hkl 0 1 2; d 3.743, 2θ = 23.77°, I = 100, hkl 1 0 2; d 3.708, 2θ = 24.00°, I = 100, hkl 1 1 -2; d 2.672, 2θ = 33.53°, I = 15, hkl 0 1 -4; d 2.235, 2θ = 40.35°, I = 14, hkl 2 1 -3; d 1.897, 2θ = 47.96°, I = 23, hkl 0 2 4; d 1.872, 2θ = 48.64°, I = 21, hkl 2 0 4; d 1.854, 2θ = 49.15°, I = 19, hkl 2 2 -4; d 1.702, 2θ = 53.87°, I = 15, hkl 2 1 6; d 1.681, 2θ = 54.58°, I = 19, hkl 1 2 -6